Simulated powder XRD pattern of MgAlTl2F6 for Cu Kα (weighted mean of Kα1 and Kα2), from a crystal structure in Alexandria, relaxed with PBE.

```
MgAlTl2F6
1.0
3.0167 -3.7577 0.0000
3.0167 3.7577 0.0000
0.0000 0.0000 7.0692
Mg Al Tl F
1 1 2 6
Direct
0.0000 0.0000 0.0000 Mg
0.5000 0.5000 0.0000 Al
0.2591 0.7409 0.5000 Tl
0.7409 0.2591 0.5000 Tl
0.2600 0.7400 0.0000 F
0.2728 0.2728 0.1772 F
0.2728 0.2728 0.8228 F
0.7272 0.7272 0.1772 F
0.7272 0.7272 0.8228 F
0.7400 0.2600 0.0000 F
```

The 12 most intense peaks (10° ≤ 2θ ≤ 90°), by angle:
2θ 12.5, d = 7.069 Å, I 961; 2θ 23.7, d = 3.758 Å, I 305; 2θ 25.2, d = 3.535 Å, I 581; 2θ 26.9, d = 3.318 Å, I 1000; 2θ 29.6, d = 3.017 Å, I 339; 2θ 32.3, d = 2.775 Å, I 364; 2θ 34.8, d = 2.575 Å, I 480; 2θ 38.2, d = 2.353 Å, I 567; 2θ 39.3, d = 2.295 Å, I 535; 2θ 40.4, d = 2.232 Å, I 495; 2θ 46.4, d = 1.958 Å, I 269; 2θ 55.2, d = 1.665 Å, I 323